# 1
Diffraction record for Er2Sc3Tl3. The powder diffractogram is calculated, not measured: it uses a structure optimized by DFT (GGA-PBE) and Cu Kα, 1.54184 Å.

Atomic structure:
```
data_Er2Sc3Tl3
_space_group_name_H-M_alt 'P m m m'
_space_group_IT_number 47
_cell_length_a 4.774
_cell_length_b 4.783
_cell_length_c 8.797
_cell_angle_alpha 90.00
_cell_angle_beta 90.00
_cell_angle_gamma 90.00
loop_
_space_group_symop_operation_xyz
'x,y,z'
'-x,-y,-z'
'-x,-y,z'
'x,y,-z'
'x,-y,-z'
'-x,y,z'
'-x,y,-z'
'x,-y,z'
loop_
_atom_site_label
_atom_site_type_symbol
_atom_site_fract_x
_atom_site_fract_y
_atom_site_fract_z
Er1 Er 0.000 0.000 0.244
Sc1 Sc 0.000 0.500 0.500
Sc2 Sc 0.500 0.500 0.239
Tl1 Tl 0.000 0.500 0.000
Tl2 Tl 0.500 0.000 0.000
Tl3 Tl 0.500 0.000 0.500
```

Most intense lines, 2θ from 10° to 90°, low angle first:
(hkl), Position (°2θ), Rel. int.
0 0 1, 10.05, 10
0 1 0, 18.55, 15
1 0 2, 27.57, 12
1 1 2, 33.44, 100
2 0 0, 37.65, 36
0 0 4, 41.04, 14
2 2 0, 54.30, 13
2 0 4, 56.91, 22
1 3 2, 65.24, 14
3 1 2, 65.34, 14
1 1 6, 69.95, 12
2 2 4, 70.26, 12



# 2
Diffraction record for ZrSc3Tl2. The powder diffractogram is calculated, not measured: it uses a structure optimized by DFT (GGA-PBE) and Cu Kα, 1.54184 Å.

Atomic structure:
```
data_ZrSc3Tl2
_space_group_name_H-M_alt 'P n m a'
_space_group_IT_number 62
_cell_length_a 8.152
_cell_length_b 3.307
_cell_length_c 21.345
_cell_angle_alpha 90.00
_cell_angle_beta 90.00
_cell_angle_gamma 90.00
loop_
_space_group_symop_operation_xyz
'x,y,z'
'-x,-y,-z'
'-x+1/2,-y,z+1/2'
'x+1/2,y,-z+1/2'
'x+1/2,-y+1/2,-z+1/2'
'-x+1/2,y+1/2,z+1/2'
'-x,y+1/2,-z'
'x,-y+1/2,z'
loop_
_atom_site_label
_atom_site_type_symbol
_atom_site_fract_x
_atom_site_fract_y
_atom_site_fract_z
Zr1 Zr 0.000 0.250 0.063
Sc1 Sc 0.121 0.250 0.347
Sc2 Sc 0.187 0.750 0.476
Sc3 Sc 0.236 0.250 0.206
Tl1 Tl 0.077 0.250 0.805
Tl2 Tl 0.152 0.250 0.594
```

Most intense lines, 2θ from 10° to 90°, low angle first:
(hkl), Position (°2θ), Rel. int.
0 0 4, 16.56, 19
1 0 4, 19.89, 33
2 0 1, 22.20, 44
1 0 5, 23.52, 49
0 1 1, 27.31, 30
3 0 1, 33.23, 35
1 1 4, 33.73, 100
2 1 0, 34.94, 45
1 0 8, 35.40, 17
1 1 5, 36.08, 62
3 0 4, 37.18, 60
2 0 9, 44.18, 24